(1)
Simulated powder diffraction line list of K2NaTlHg2 for CuKα, from the PBE geometry in Alexandria.
Kinematic intensities with the Lorentz-polarization factor, no thermal factor.

Structure:
a b c (Å): 6.963 17.599 7.063
angles (deg): 90.00 90.00 90.00
Space group Ibam (No. 72)
Symmetry-distinct sites (fractional):
K1 0.248 0.175 0.000 (multiplicity 8)
Na1 0.000 0.500 0.250 (multiplicity 4)
Tl1 0.000 0.000 0.250 (multiplicity 4)
Hg1 0.249 0.116 0.500 (multiplicity 8)

Top 10 peaks for 15° ≤ 2θ ≤ 90°, in order of rising 2θ:
h k l, d/Å, Position (°2θ), I/Imax
1 2 1, 4.320, 20.56, 100
0 4 2, 2.754, 32.51, 63
2 4 0, 2.730, 32.80, 61
1 6 1, 2.525, 35.56, 40
2 0 2, 2.479, 36.23, 57
1 2 3, 2.161, 41.80, 26
0 10 0, 1.762, 51.89, 17
2 8 2, 1.645, 55.88, 21
2 4 4, 1.483, 62.66, 19
4 4 2, 1.472, 63.19, 19

***

(2)
Simulated powder diffraction line list of K2Na5TlHg2 for CuKα, from the PBE geometry in Alexandria.
Kinematic intensities with the Lorentz-polarization factor, no thermal factor.

Structure:
a b c (Å): 12.180 12.180 4.739
angles (deg): 90.00 90.00 90.00
Space group P4/mbm (No. 127)
Symmetry-distinct sites (fractional):
K1 0.174 0.326 0.000 (multiplicity 4)
Na1 0.000 0.500 0.500 (multiplicity 2)
Na2 0.066 0.801 0.500 (multiplicity 8)
Tl1 0.000 0.000 0.000 (multiplicity 2)
Hg1 0.122 0.622 0.000 (multiplicity 4)

Top 10 peaks for 15° ≤ 2θ ≤ 90°, in order of rising 2θ:
h k l, d/Å, Position (°2θ), I/Imax
2 1 0, 5.447, 16.27, 49
0 0 1, 4.739, 18.72, 51
3 1 0, 3.852, 23.09, 55
2 1 1, 3.575, 24.90, 25
3 1 1, 2.989, 29.89, 100
3 2 1, 2.751, 32.55, 43
5 1 0, 2.389, 37.66, 19
5 1 1, 2.133, 42.37, 25
3 1 2, 2.018, 44.91, 20
4 4 1, 1.960, 46.31, 22

***

(3)
Simulated powder diffraction line list of K6Na14Tl18Hg for CuKα, from the PBE geometry in Alexandria.
Kinematic intensities with the Lorentz-polarization factor, no thermal factor.

Structure:
a b c (Å): 10.773 10.773 10.773
angles (deg): 90.00 90.00 90.00
Space group Pm-3 (No. 200)
Symmetry-distinct sites (fractional):
K1 0.000 0.310 0.500 (multiplicity 6)
Na1 0.000 0.500 0.166 (multiplicity 6)
Na2 0.219 0.219 0.219 (multiplicity 8)
Tl1 0.000 0.000 0.222 (multiplicity 6)
Tl2 0.243 0.500 0.344 (multiplicity 12)
Hg1 0.500 0.500 0.500 (multiplicity 1)

Top 10 peaks for 15° ≤ 2θ ≤ 90°, in order of rising 2θ:
h k l, d/Å, Position (°2θ), I/Imax
2 2 1, 3.591, 24.79, 22
3 0 2, 2.988, 29.90, 37
3 2 1, 2.879, 31.06, 32
4 0 0, 2.693, 33.26, 35
3 2 2, 2.613, 34.32, 100
4 1 1, 2.539, 35.35, 24
4 2 0, 2.409, 37.33, 26
4 2 1, 2.351, 38.29, 21
4 4 3, 1.683, 54.54, 20
6 3 2, 1.539, 60.12, 23

***

(4)
Simulated powder diffraction line list of K2Na6ZnHg for CuKα, from the PBE geometry in Alexandria.
Kinematic intensities with the Lorentz-polarization factor, no thermal factor.

Structure:
a b c (Å): 11.866 11.866 11.866
angles (deg): 90.00 90.00 90.00
Space group Fm-3m (No. 225)
Symmetry-distinct sites (fractional):
K1 0.250 0.250 0.250 (multiplicity 8)
Na1 0.000 0.000 0.247 (multiplicity 24)
Zn1 0.000 0.000 0.000 (multiplicity 4)
Hg1 0.000 0.000 0.500 (multiplicity 4)

Top 10 peaks for 15° ≤ 2θ ≤ 90°, in order of rising 2θ:
h k l, d/Å, Position (°2θ), I/Imax
2 2 0, 4.195, 21.18, 100
3 1 1, 3.578, 24.89, 24
4 0 0, 2.966, 30.13, 57
4 2 0, 2.653, 33.78, 38
4 2 2, 2.422, 37.12, 47
4 4 0, 2.098, 43.13, 41
6 0 0, 1.978, 45.89, 21
6 2 0, 1.876, 48.52, 22
6 4 2, 1.586, 58.18, 25
8 4 0, 1.327, 71.06, 17

***

(5)
Simulated powder diffraction line list of KNdHgTe3 for CuKα, from the PBE geometry in Alexandria.
Kinematic intensities with the Lorentz-polarization factor, no thermal factor.

Structure:
a b c (Å): 9.479 4.593 10.879
angles (deg): 90.00 106.39 90.00
Space group P2_1/m (No. 11)
Symmetry-distinct sites (fractional):
K1 0.218 0.250 0.250 (multiplicity 2)
Nd1 0.321 0.750 0.860 (multiplicity 2)
Hg1 0.092 0.250 0.615 (multiplicity 2)
Te1 0.086 0.250 0.873 (multiplicity 2)
Te2 0.236 0.750 0.539 (multiplicity 2)
Te3 0.456 0.750 0.159 (multiplicity 2)

Top 10 peaks for 15° ≤ 2θ ≤ 90°, in order of rising 2θ:
h k l, d/Å, Position (°2θ), I/Imax
0 0 3, 3.479, 25.61, 28
2 1 -1, 3.278, 27.20, 70
2 1 0, 3.232, 27.60, 100
1 0 3, 2.981, 29.98, 44
1 1 -3, 2.837, 31.54, 72
0 0 4, 2.605, 34.42, 61
3 1 0, 2.530, 35.48, 35
0 2 0, 2.297, 39.23, 50
2 1 -4, 2.264, 39.82, 75
4 0 -3, 2.209, 40.84, 29

***

(6)
Simulated powder diffraction line list of KNp2HgO8 for CuKα, from the PBE geometry in Alexandria.
Kinematic intensities with the Lorentz-polarization factor, no thermal factor.

Structure:
a b c (Å): 6.0985 6.0985 6.8872
angles (deg): 90.00 90.00 120.00
Space group P-3 (No. 147)
Symmetry-distinct sites (fractional):
K1 0.0000 0.0000 0.0000 (multiplicity 1)
Np1 0.3333 0.6667 0.4411 (multiplicity 2)
Hg1 0.0000 0.0000 0.5000 (multiplicity 1)
O1 0.0627 0.3878 0.6278 (multiplicity 6)
O2 0.3333 0.6667 0.1722 (multiplicity 2)

Top 10 peaks for 15° ≤ 2θ ≤ 90°, in order of rising 2θ:
h k l, d/Å, Position (°2θ), I/Imax
0 1 1, 4.191, 21.20, 25
0 0 2, 3.444, 25.87, 29
1 1 0, 3.049, 29.29, 100
1 0 2, 2.885, 31.00, 20
2 -1 1, 2.788, 32.10, 98
2 -1 2, 2.283, 39.47, 62
2 -1 3, 1.834, 49.71, 18
3 0 0, 1.760, 51.94, 27
3 0 1, 1.706, 53.74, 30
3 0 2, 1.568, 58.92, 19

***

(7)
Simulated powder diffraction line list of K2NpHgO5 for CuKα, from the PBE geometry in Alexandria.
Kinematic intensities with the Lorentz-polarization factor, no thermal factor.

Structure:
a b c (Å): 4.431 6.042 12.554
angles (deg): 90.00 90.00 90.00
Space group Immm (No. 71)
Symmetry-distinct sites (fractional):
K1 0.000 0.000 0.223 (multiplicity 4)
Np1 0.000 0.500 0.500 (multiplicity 2)
Hg1 0.000 0.500 0.000 (multiplicity 2)
O1 0.000 0.000 0.000 (multiplicity 2)
O2 0.000 0.281 0.386 (multiplicity 8)

Top 10 peaks for 15° ≤ 2θ ≤ 90°, in order of rising 2θ:
h k l, d/Å, Position (°2θ), I/Imax
1 1 0, 3.573, 24.92, 34
0 0 4, 3.139, 28.44, 21
1 1 2, 3.105, 28.75, 100
0 2 0, 3.021, 29.57, 21
0 2 2, 2.722, 32.90, 19
1 1 4, 2.358, 38.17, 23
0 2 4, 2.177, 41.49, 25
1 1 6, 1.806, 50.55, 18
1 3 2, 1.760, 51.96, 19
0 2 6, 1.719, 53.29, 17

***

(8)
Simulated powder diffraction line list of K2NpHgS4 for CuKα, from the PBE geometry in Alexandria.
Kinematic intensities with the Lorentz-polarization factor, no thermal factor.

Structure:
a b c (Å): 7.325 4.033 7.788
angles (deg): 90.00 111.32 90.00
Space group P2/m (No. 10)
Symmetry-distinct sites (fractional):
K1 0.000 0.000 0.000 (multiplicity 1)
K2 0.500 0.500 0.000 (multiplicity 1)
Np1 0.000 0.500 0.500 (multiplicity 1)
Hg1 0.500 0.000 0.500 (multiplicity 1)
S1 0.202 0.000 0.716 (multiplicity 2)
S2 0.259 0.500 0.318 (multiplicity 2)

Top 10 peaks for 15° ≤ 2θ ≤ 90°, in order of rising 2θ:
h k l, d/Å, Position (°2θ), I/Imax
0 0 2, 3.632, 24.51, 62
1 1 0, 3.472, 25.66, 40
2 0 0, 3.412, 26.12, 28
1 1 -1, 3.385, 26.33, 52
2 0 -2, 3.114, 28.67, 59
1 1 1, 2.928, 30.53, 100
1 1 2, 2.304, 39.09, 26
1 1 -3, 2.183, 41.37, 39
3 1 -1, 2.087, 43.37, 38
2 2 -2, 1.692, 54.19, 19

***

(9)
Simulated powder diffraction line list of K2Np3HgSe8 for CuKα, from the PBE geometry in Alexandria.
Kinematic intensities with the Lorentz-polarization factor, no thermal factor.

Structure:
a b c (Å): 14.665 8.427 9.512
angles (deg): 90.00 120.93 90.00
Space group Cm (No. 8)
Symmetry-distinct sites (fractional):
K1 0.000 0.000 0.000 (multiplicity 2)
K2 0.147 0.500 0.937 (multiplicity 2)
Np1 0.008 0.000 0.524 (multiplicity 2)
Np2 0.259 0.251 0.522 (multiplicity 4)
Hg1 0.446 0.000 0.339 (multiplicity 2)
Se1 0.029 0.228 0.317 (multiplicity 4)
Se2 0.235 0.000 0.701 (multiplicity 2)
Se3 0.244 0.500 0.700 (multiplicity 2)
Se4 0.258 0.000 0.316 (multiplicity 2)
Se5 0.279 0.500 0.336 (multiplicity 2)
Se6 0.479 0.264 0.703 (multiplicity 4)

Top 10 peaks for 15° ≤ 2θ ≤ 90°, in order of rising 2θ:
h k l, d/Å, Position (°2θ), I/Imax
1 1 -2, 4.069, 21.84, 20
4 0 -1, 3.617, 24.61, 53
4 0 0, 3.140, 28.43, 100
3 1 1, 2.933, 30.47, 18
2 2 -3, 2.527, 35.52, 36
2 2 2, 2.347, 38.35, 22
6 2 -2, 2.114, 42.77, 34
0 4 0, 2.107, 42.93, 17
6 2 -3, 2.047, 44.25, 25
2 2 3, 1.901, 47.85, 19

***

(10)
Simulated powder diffraction line list of K6HgO for CuKα, from the PBE geometry in Alexandria.
Kinematic intensities with the Lorentz-polarization factor, no thermal factor.

Structure:
a b c (Å): 14.211 7.518 14.536
angles (deg): 90.00 107.52 90.00
Space group C2/c (No. 15)
Symmetry-distinct sites (fractional):
K1 0.085 0.095 0.393 (multiplicity 8)
K2 0.146 0.467 0.015 (multiplicity 8)
K3 0.226 0.117 0.661 (multiplicity 8)
Hg1 0.000 0.381 0.750 (multiplicity 4)
O1 0.250 0.250 0.500 (multiplicity 4)

Top 10 peaks for 15° ≤ 2θ ≤ 90°, in order of rising 2θ:
h k l, d/Å, Position (°2θ), I/Imax
2 0 -2, 5.795, 15.29, 64
1 1 1, 5.630, 15.74, 66
1 1 -2, 5.161, 17.18, 24
0 2 1, 3.628, 24.54, 24
1 1 3, 3.545, 25.12, 52
4 0 -2, 3.486, 25.55, 64
2 2 -1, 3.309, 26.95, 100
1 1 -4, 3.269, 27.28, 73
3 1 2, 3.061, 29.18, 67
1 3 3, 2.126, 42.51, 27

***

(11)
Simulated powder diffraction line list of K3Hg2O4 for CuKα, from the PBE geometry in Alexandria.
Kinematic intensities with the Lorentz-polarization factor, no thermal factor.

Structure:
a b c (Å): 4.368 7.677 13.773
angles (deg): 90.00 90.00 90.00
Space group Immm (No. 71)
Symmetry-distinct sites (fractional):
K1 0.000 0.000 0.000 (multiplicity 2)
K2 0.000 0.500 0.221 (multiplicity 4)
Hg1 0.000 0.201 0.500 (multiplicity 4)
O1 0.000 0.224 0.357 (multiplicity 8)

Top 10 peaks for 15° ≤ 2θ ≤ 90°, in order of rising 2θ:
h k l, d/Å, Position (°2θ), I/Imax
1 0 1, 4.163, 21.34, 100
0 0 4, 3.443, 25.88, 41
0 2 2, 3.353, 26.59, 48
1 1 2, 3.324, 26.82, 44
1 0 3, 3.164, 28.20, 39
1 2 1, 2.822, 31.71, 92
0 3 1, 2.516, 35.69, 25
1 2 3, 2.442, 36.81, 25
2 0 0, 2.184, 41.34, 21
1 2 5, 1.992, 45.54, 33

***

(12)
Simulated powder diffraction line list of K3HgO for CuKα, from the PBE geometry in Alexandria.
Kinematic intensities with the Lorentz-polarization factor, no thermal factor.

Structure:
a b c (Å): 10.574 16.193 3.912
angles (deg): 90.00 90.00 90.00
Space group Cmmm (No. 65)
Symmetry-distinct sites (fractional):
K1 0.000 0.211 0.000 (multiplicity 4)
K2 0.221 0.357 0.500 (multiplicity 8)
Hg1 0.000 0.000 0.500 (multiplicity 2)
Hg2 0.000 0.500 0.000 (multiplicity 2)
O1 0.250 0.250 0.000 (multiplicity 4)

Top 10 peaks for 15° ≤ 2θ ≤ 90°, in order of rising 2θ:
h k l, d/Å, Position (°2θ), I/Imax
2 0 0, 5.287, 16.77, 33
2 2 0, 4.427, 20.06, 84
1 1 1, 3.578, 24.88, 84
2 4 0, 3.214, 27.76, 76
1 3 1, 3.034, 29.44, 100
4 0 0, 2.643, 33.91, 30
3 1 1, 2.585, 34.70, 53
3 3 1, 2.356, 38.20, 31
0 0 2, 1.956, 46.41, 39
5 3 1, 1.759, 51.99, 28